Record 1
This entry pairs a crystal structure of Mn2InSiO with its theoretical X-ray diffraction stick pattern. Radiation: Cu Ka. Structure: a structure optimized by DFT (PBE+U).
No peak broadening, texture or thermal motion is included.

Largest 8 diffraction maxima, in order of falling intensity, 2θ from 10° to 90°:
d/Å  I/Imax
5.270  100
4.889  84
2.635  79
3.584  52
2.320  49
1.792  47
2.445  32
1.863  27

Structure:
a = 5.2704 Å, b = 5.2704 Å, c = 4.8893 Å
α = 90.00°, β = 90.00°, γ = 90.00°
Fractional coordinates of all 5 atoms:
Mn: 0.0000 0.5000 0.0000
Mn: 0.5000 0.0000 0.0000
In: 0.0000 0.0000 0.0000
Si: 0.0000 0.0000 0.5000
O: 0.5000 0.5000 0.5000

***

Record 2
This entry pairs a crystal structure of MnIn2SiO6 with its theoretical X-ray diffraction stick pattern. Radiation: Cu Ka. Structure: a structure optimized by DFT (PBE+U).
No peak broadening, texture or thermal motion is included.

Largest 8 diffraction maxima, in order of falling intensity, 2θ from 10° to 90°:
d/Å  I/Imax
2.784  100
2.648  81
3.837  63
1.919  39
1.554  36
1.751  35
1.529  26
2.180  19

Structure:
a = 5.5818 Å, b = 5.5818 Å, c = 5.5818 Å
α = 56.65°, β = 56.65°, γ = 56.65°
Fractional coordinates of all 10 atoms:
Mn: 0.0000 0.0000 0.0000
In: 0.2717 0.2717 0.2717
In: 0.7814 0.7814 0.7814
Si: 0.4836 0.4836 0.4836
O: 0.1360 0.6795 0.3826
O: 0.2435 0.5877 0.8237
O: 0.3826 0.1360 0.6795
O: 0.5877 0.8237 0.2435
O: 0.6795 0.3826 0.1360
O: 0.8237 0.2435 0.5877